The following is a computed powder X-ray diffraction pattern of ZrRe3. It was derived from a structure optimized by DFT (PBE), using Cu Kα X-rays.

Structure:
```
4
Lattice="4.5378 0.0000 0.0000 0.0000 4.5378 0.0000 0.0000 0.0000 3.1754" Properties=species:S:1:pos:R:3 pbc="T T T"
Zr 0.0000 0.0000 0.0000
Re 0.0000 2.2689 1.5877
Re 2.2689 0.0000 1.5877
Re 2.2689 2.2689 0.0000
```

Main lines, in order of falling intensity (2θ = 15–90°):
39.9°, I 100.0, hkl 1 1 1; 39.7°, I 50.8, hkl 2 0 0; 72.2°, I 35.2, hkl 3 1 1; 57.4°, I 17.4, hkl 2 2 0; 72.7°, I 17.3, hkl 2 0 2; 86.2°, I 11.4, hkl 2 2 2; 58.1°, I 8.4, hkl 0 0 2; 85.6°, I 5.8, hkl 4 0 0

=====

The following is a computed powder X-ray diffraction pattern of Sr2In5AgPd2. It was derived from a structure optimized by DFT (PBE), using Cu Kα X-rays.

Structure:
```
20
Lattice="10.6099 0.0000 0.0000 0.0000 10.6099 0.0000 0.0000 0.0000 4.3566" Properties=species:S:1:pos:R:3 pbc="T T T"
Sr 1.9259 3.3790 0.0000
Sr 3.3790 8.6840 0.0000
Sr 7.2308 1.9259 0.0000
Sr 8.6840 7.2308 0.0000
In 0.0000 5.3049 2.1783
In 0.6280 8.4526 2.1783
In 2.1573 0.6280 2.1783
In 3.1476 5.9330 2.1783
In 4.6769 3.1476 2.1783
In 5.3049 0.0000 2.1783
In 5.9330 7.4622 2.1783
In 7.4622 4.6769 2.1783
In 8.4526 9.9818 2.1783
In 9.9818 2.1573 2.1783
Ag 0.0000 0.0000 0.0000
Ag 5.3049 5.3049 0.0000
Pd 1.2186 6.5235 0.0000
Pd 4.0863 1.2186 0.0000
Pd 6.5235 9.3913 0.0000
Pd 9.3913 4.0863 0.0000
```

Main lines, in order of falling intensity (2θ = 15–90°):
33.7°, I 100.0, hkl 3 1 1; 36.9°, I 51.6, hkl 3 2 1; 34.9°, I 39.7, hkl 4 1 0; 41.5°, I 29.4, hkl 0 0 2; 31.5°, I 27.7, hkl 2 2 1; 55.3°, I 20.5, hkl 4 1 2; 39.8°, I 13.7, hkl 4 0 1; 18.7°, I 12.2, hkl 2 1 0

=====

Repeat the first record exactly.
The following is a computed powder X-ray diffraction pattern of ZrRe3. It was derived from a structure optimized by DFT (PBE), using Cu Kα X-rays.

Structure:
```
4
Lattice="4.5378 0.0000 0.0000 0.0000 4.5378 0.0000 0.0000 0.0000 3.1754" Properties=species:S:1:pos:R:3 pbc="T T T"
Zr 0.0000 0.0000 0.0000
Re 0.0000 2.2689 1.5877
Re 2.2689 0.0000 1.5877
Re 2.2689 2.2689 0.0000
```

Main lines, in order of falling intensity (2θ = 15–90°):
39.9°, I 100.0, hkl 1 1 1; 39.7°, I 50.8, hkl 2 0 0; 72.2°, I 35.2, hkl 3 1 1; 57.4°, I 17.4, hkl 2 2 0; 72.7°, I 17.3, hkl 2 0 2; 86.2°, I 11.4, hkl 2 2 2; 58.1°, I 8.4, hkl 0 0 2; 85.6°, I 5.8, hkl 4 0 0